Structure and computed powder diffraction line list of Ca3Ag2Cl8 (DFT lattice parameters and positions (GGA-PBE); copper Kα).

Structural model:
```
data_Ca3Ag2Cl8
_cell_length_a 13.304
_cell_length_b 8.264
_cell_length_c 7.229
_cell_angle_alpha 90.00
_cell_angle_beta 111.96
_cell_angle_gamma 90.00
_space_group_name_H-M_alt 'C 1 2/m 1'
_space_group_IT_number 12
_space_group_name_Hall '-C 2y'
loop_
_atom_site_label
_atom_site_type_symbol
_atom_site_fract_x
_atom_site_fract_y
_atom_site_fract_z
Ca1 Ca 0.000 0.000 0.000
Ca2 Ca 0.000 0.254 0.500
Ag1 Ag 0.127 0.500 0.081
Cl1 Cl 0.116 0.000 0.746
Cl2 Cl 0.118 0.236 0.258
Cl3 Cl 0.124 0.500 0.725
```

The 10 most intense peaks (2θ = 10–80°), in order of rising 2θ:
2θ/deg, I_rel, (hkl)
12.9, 47, 1 1 0
14.4, 44, 2 0 0
16.4, 62, 1 1 -1
24.2, 47, 3 1 0
25.0, 47, 2 0 -2
25.3, 100, 0 2 1
28.9, 51, 4 0 0
31.7, 49, 2 2 1
43.5, 82, 2 2 -3
43.8, 41, 0 4 0